No. 1
This entry pairs a crystal structure of LaSmPu2N4 with its computed X-ray diffraction stick pattern. Radiation: a wavelength of 1.5418 Å. Structure: the GGA-PBE geometry in Alexandria.
Peak positions follow from Bragg's law for the DFT cell and can differ from measured ones.

```
data_LaSmPu2N4
_chemical_formula_sum 'La1 Sm1 Pu2 N4'
_space_group_name_H-M_alt 'P 1'
_space_group_IT_number 1
_space_group_name_Hall 'P 1'
_cell_length_a 6.176
_cell_length_b 3.545
_cell_length_c 6.185
_cell_angle_alpha 90.00
_cell_angle_beta 110.01
_cell_angle_gamma 90.00
loop_
_atom_site_label
_atom_site_type_symbol
_atom_site_fract_x
_atom_site_fract_y
_atom_site_fract_z
La1 La 0.000 0.000 0.000
Sm1 Sm 0.000 0.500 0.500
Pu1 Pu 0.500 0.000 0.500
Pu2 Pu 0.500 0.500 0.000
N1 N 0.275 0.000 0.757
N2 N 0.280 0.500 0.274
N3 N 0.720 0.500 0.726
N4 N 0.725 0.000 0.243
```

Largest 8 diffraction maxima, sorted by position, 10° ≤ 2θ ≤ 90°:
Position (°2θ), I_rel
30.8, 1000
35.5, 231
35.8, 448
51.3, 320
51.6, 157
60.8, 156
61.3, 307
64.1, 122



No. 2
This entry pairs a crystal structure of Ce2Th7 with its computed X-ray diffraction stick pattern. Radiation: a wavelength of 1.5418 Å. Structure: the GGA-PBE geometry in Alexandria.
Peak positions follow from Bragg's law for the DFT cell and can differ from measured ones.

```
data_Ce2Th7
_chemical_formula_sum 'Ce2 Th7'
_space_group_name_H-M_alt 'P 1'
_space_group_IT_number 1
_space_group_name_Hall 'P 1'
_cell_length_a 6.125
_cell_length_b 6.125
_cell_length_c 8.627
_cell_angle_alpha 90.00
_cell_angle_beta 90.00
_cell_angle_gamma 120.00
loop_
_atom_site_label
_atom_site_type_symbol
_atom_site_fract_x
_atom_site_fract_y
_atom_site_fract_z
Ce1 Ce 0.333 0.667 0.000
Ce2 Ce 0.667 0.333 0.000
Th1 Th 0.000 0.000 0.000
Th2 Th 0.000 0.334 0.668
Th3 Th 0.000 0.666 0.332
Th4 Th 0.334 0.000 0.668
Th5 Th 0.334 0.334 0.332
Th6 Th 0.666 0.000 0.332
Th7 Th 0.666 0.666 0.668
```

Largest 8 diffraction maxima, sorted by position, 10° ≤ 2θ ≤ 90°:
Position (°2θ), I_rel
31.0, 1000
31.1, 327
36.0, 675
51.7, 243
51.8, 244
61.5, 438
61.7, 145
64.6, 127



No. 3
This entry pairs a crystal structure of KLi2GeSb with its computed X-ray diffraction stick pattern. Radiation: a wavelength of 1.5418 Å. Structure: the GGA-PBE geometry in Alexandria.
Peak positions follow from Bragg's law for the DFT cell and can differ from measured ones.

```
data_KLi2GeSb
_chemical_formula_sum 'K1 Li2 Ge1 Sb1'
_space_group_name_H-M_alt 'P 1'
_space_group_IT_number 1
_space_group_name_Hall 'P 1'
_cell_length_a 5.006
_cell_length_b 5.006
_cell_length_c 5.963
_cell_angle_alpha 90.00
_cell_angle_beta 90.00
_cell_angle_gamma 90.00
loop_
_atom_site_label
_atom_site_type_symbol
_atom_site_fract_x
_atom_site_fract_y
_atom_site_fract_z
K1 K 0.000 0.000 0.000
Li1 Li 0.000 0.500 0.000
Li2 Li 0.500 0.000 0.000
Ge1 Ge 0.500 0.500 0.500
Sb1 Sb 0.000 0.000 0.500
```

Largest 8 diffraction maxima, sorted by position, 10° ≤ 2θ ≤ 90°:
Position (°2θ), I_rel
14.9, 668
17.7, 348
25.2, 1000
29.3, 710
30.0, 379
35.9, 463
39.5, 591
47.4, 410



No. 4
This entry pairs a crystal structure of Tb5SmTm2 with its computed X-ray diffraction stick pattern. Radiation: a wavelength of 1.5418 Å. Structure: the GGA-PBE geometry in Alexandria.
Peak positions follow from Bragg's law for the DFT cell and can differ from measured ones.

```
data_Tb5SmTm2
_chemical_formula_sum 'Tb10 Sm2 Tm4'
_space_group_name_H-M_alt 'P 1'
_space_group_IT_number 1
_space_group_name_Hall 'P 1'
_cell_length_a 6.712
_cell_length_b 9.187
_cell_length_c 9.194
_cell_angle_alpha 86.09
_cell_angle_beta 72.21
_cell_angle_gamma 72.22
loop_
_atom_site_label
_atom_site_type_symbol
_atom_site_fract_x
_atom_site_fract_y
_atom_site_fract_z
Tb1 Tb 0.123 0.396 0.231
Tb2 Tb 0.126 0.228 0.897
Tb3 Tb 0.374 0.522 0.854
Tb4 Tb 0.375 0.854 0.019
Tb5 Tb 0.376 0.022 0.354
Tb6 Tb 0.624 0.978 0.646
Tb7 Tb 0.625 0.146 0.981
Tb8 Tb 0.626 0.478 0.146
Tb9 Tb 0.874 0.772 0.103
Tb10 Tb 0.877 0.604 0.769
Sm1 Sm 0.126 0.729 0.396
Sm2 Sm 0.874 0.271 0.604
Tm1 Tm 0.126 0.896 0.729
Tm2 Tm 0.376 0.354 0.521
Tm3 Tm 0.624 0.646 0.479
Tm4 Tm 0.874 0.104 0.271
```

Largest 8 diffraction maxima, sorted by position, 10° ≤ 2θ ≤ 90°:
Position (°2θ), I_rel
28.5, 238
31.7, 241
32.6, 1000
43.1, 156
50.4, 198
57.0, 205
60.7, 226
61.3, 165



No. 5
This entry pairs a crystal structure of KTmMnCl6 with its computed X-ray diffraction stick pattern. Radiation: a wavelength of 1.5418 Å. Structure: the GGA-PBE geometry in Alexandria.
Peak positions follow from Bragg's law for the DFT cell and can differ from measured ones.

```
data_KTmMnCl6
_chemical_formula_sum 'K2 Tm2 Mn2 Cl12'
_space_group_name_H-M_alt 'P 1'
_space_group_IT_number 1
_space_group_name_Hall 'P 1'
_cell_length_a 6.427
_cell_length_b 6.427
_cell_length_c 14.302
_cell_angle_alpha 90.00
_cell_angle_beta 90.00
_cell_angle_gamma 120.00
loop_
_atom_site_label
_atom_site_type_symbol
_atom_site_fract_x
_atom_site_fract_y
_atom_site_fract_z
K1 K 0.000 0.000 0.000
K2 K 0.000 0.000 0.500
Tm1 Tm 0.333 0.667 0.250
Tm2 Tm 0.667 0.333 0.750
Mn1 Mn 0.333 0.667 0.750
Mn2 Mn 0.667 0.333 0.250
Cl1 Cl 0.028 0.379 0.650
Cl2 Cl 0.028 0.649 0.850
Cl3 Cl 0.351 0.379 0.850
Cl4 Cl 0.351 0.972 0.650
Cl5 Cl 0.379 0.028 0.150
Cl6 Cl 0.379 0.351 0.350
Cl7 Cl 0.621 0.649 0.650
Cl8 Cl 0.621 0.972 0.850
Cl9 Cl 0.649 0.028 0.350
Cl10 Cl 0.649 0.621 0.150
Cl11 Cl 0.972 0.351 0.150
Cl12 Cl 0.972 0.621 0.350
```

Largest 8 diffraction maxima, sorted by position, 10° ≤ 2θ ≤ 90°:
Position (°2θ), I_rel
12.4, 1000
15.9, 238
17.1, 253
20.2, 804
30.5, 560
37.6, 792
47.5, 281
49.1, 260



No. 6
This entry pairs a crystal structure of TbMgAl2Ag4 with its computed X-ray diffraction stick pattern. Radiation: a wavelength of 1.5418 Å. Structure: the GGA-PBE geometry in Alexandria.
Peak positions follow from Bragg's law for the DFT cell and can differ from measured ones.

```
data_TbMgAl2Ag4
_chemical_formula_sum 'Tb1 Mg1 Al2 Ag4'
_space_group_name_H-M_alt 'P 1'
_space_group_IT_number 1
_space_group_name_Hall 'P 1'
_cell_length_a 8.895
_cell_length_b 8.895
_cell_length_c 8.895
_cell_angle_alpha 29.75
_cell_angle_beta 29.75
_cell_angle_gamma 29.75
loop_
_atom_site_label
_atom_site_type_symbol
_atom_site_fract_x
_atom_site_fract_y
_atom_site_fract_z
Tb1 Tb 0.000 0.000 0.000
Mg1 Mg 0.500 0.500 0.500
Al1 Al 0.248 0.248 0.248
Al2 Al 0.752 0.752 0.752
Ag1 Ag 0.129 0.129 0.129
Ag2 Ag 0.394 0.394 0.394
Ag3 Ag 0.606 0.606 0.606
Ag4 Ag 0.871 0.871 0.871
```

Largest 8 diffraction maxima, sorted by position, 10° ≤ 2θ ≤ 90°:
Position (°2θ), I_rel
23.6, 234
26.5, 215
28.6, 246
33.5, 358
36.2, 925
39.5, 1000
54.6, 273
69.5, 259



No. 7
This entry pairs a crystal structure of Sm8Dy5Sc with its computed X-ray diffraction stick pattern. Radiation: a wavelength of 1.5418 Å. Structure: the GGA-PBE geometry in Alexandria.
Peak positions follow from Bragg's law for the DFT cell and can differ from measured ones.

```
data_Sm8Dy5Sc
_chemical_formula_sum 'Sm8 Dy5 Sc1'
_space_group_name_H-M_alt 'P 1'
_space_group_IT_number 1
_space_group_name_Hall 'P 1'
_cell_length_a 8.759
_cell_length_b 8.759
_cell_length_c 8.514
_cell_angle_alpha 117.25
_cell_angle_beta 117.25
_cell_angle_gamma 56.69
loop_
_atom_site_label
_atom_site_type_symbol
_atom_site_fract_x
_atom_site_fract_y
_atom_site_fract_z
Sm1 Sm 0.030 0.596 0.431
Sm2 Sm 0.126 0.126 0.181
Sm3 Sm 0.229 0.432 0.788
Sm4 Sm 0.404 0.970 0.569
Sm5 Sm 0.522 0.107 0.076
Sm6 Sm 0.568 0.771 0.212
Sm7 Sm 0.874 0.874 0.819
Sm8 Sm 0.893 0.478 0.924
Dy1 Dy 0.253 0.648 0.228
Dy2 Dy 0.352 0.747 0.772
Dy3 Dy 0.516 0.274 0.533
Dy4 Dy 0.726 0.484 0.467
Dy5 Dy 0.951 0.049 0.500
Sc1 Sc 0.662 0.338 0.000
```

Largest 8 diffraction maxima, sorted by position, 10° ≤ 2θ ≤ 90°:
Position (°2θ), I_rel
30.1, 468
30.7, 1000
31.2, 393
31.4, 717
31.7, 693
32.5, 565
32.7, 335
33.0, 353



No. 8
This entry pairs a crystal structure of Ac3Pm5Te8 with its computed X-ray diffraction stick pattern. Radiation: a wavelength of 1.5418 Å. Structure: the GGA-PBE geometry in Alexandria.
Peak positions follow from Bragg's law for the DFT cell and can differ from measured ones.

```
data_Ac3Pm5Te8
_chemical_formula_sum 'Ac3 Pm5 Te8'
_space_group_name_H-M_alt 'P 1'
_space_group_IT_number 1
_space_group_name_Hall 'P 1'
_cell_length_a 7.876
_cell_length_b 7.876
_cell_length_c 7.876
_cell_angle_alpha 90.00
_cell_angle_beta 90.00
_cell_angle_gamma 90.00
loop_
_atom_site_label
_atom_site_type_symbol
_atom_site_fract_x
_atom_site_fract_y
_atom_site_fract_z
Ac1 Ac 0.000 0.000 0.500
Ac2 Ac 0.000 0.500 0.000
Ac3 Ac 0.500 0.000 0.000
Pm1 Pm 0.000 0.000 0.000
Pm2 Pm 0.000 0.500 0.500
Pm3 Pm 0.500 0.000 0.500
Pm4 Pm 0.500 0.500 0.000
Pm5 Pm 0.500 0.500 0.500
Te1 Te 0.254 0.254 0.254
Te2 Te 0.254 0.254 0.746
Te3 Te 0.254 0.746 0.254
Te4 Te 0.254 0.746 0.746
Te5 Te 0.746 0.254 0.254
Te6 Te 0.746 0.254 0.746
Te7 Te 0.746 0.746 0.254
Te8 Te 0.746 0.746 0.746
```

Largest 8 diffraction maxima, sorted by position, 10° ≤ 2θ ≤ 90°:
Position (°2θ), I_rel
19.5, 18
22.6, 33
32.1, 1000
46.1, 184
57.3, 385
67.2, 119
76.5, 164
85.4, 42



No. 9
This entry pairs a crystal structure of Rb6TiO4 with its computed X-ray diffraction stick pattern. Radiation: a wavelength of 1.5418 Å. Structure: the GGA-PBE geometry in Alexandria.
Peak positions follow from Bragg's law for the DFT cell and can differ from measured ones.

```
data_Rb6TiO4
_chemical_formula_sum 'Rb12 Ti2 O8'
_space_group_name_H-M_alt 'P 1'
_space_group_IT_number 1
_space_group_name_Hall 'P 1'
_cell_length_a 14.034
_cell_length_b 14.034
_cell_length_c 6.028
_cell_angle_alpha 90.00
_cell_angle_beta 90.00
_cell_angle_gamma 119.89
loop_
_atom_site_label
_atom_site_type_symbol
_atom_site_fract_x
_atom_site_fract_y
_atom_site_fract_z
Rb1 Rb 0.075 0.925 0.500
Rb2 Rb 0.076 0.652 0.500
Rb3 Rb 0.169 0.334 0.469
Rb4 Rb 0.334 0.169 0.969
Rb5 Rb 0.334 0.666 0.969
Rb6 Rb 0.348 0.924 0.500
Rb7 Rb 0.652 0.076 0.000
Rb8 Rb 0.666 0.334 0.469
Rb9 Rb 0.666 0.831 0.469
Rb10 Rb 0.831 0.666 0.969
Rb11 Rb 0.924 0.348 0.000
Rb12 Rb 0.925 0.075 0.000
Ti1 Ti 0.166 0.834 0.936
Ti2 Ti 0.834 0.166 0.436
O1 O 0.026 0.764 0.815
O2 O 0.166 0.834 0.241
O3 O 0.236 0.974 0.815
O4 O 0.237 0.763 0.815
O5 O 0.763 0.237 0.315
O6 O 0.764 0.026 0.315
O7 O 0.834 0.166 0.741
O8 O 0.974 0.236 0.315
```

Largest 8 diffraction maxima, sorted by position, 10° ≤ 2θ ≤ 90°:
Position (°2θ), I_rel
14.6, 207
20.7, 841
24.4, 1000
25.4, 249
26.5, 535
29.6, 266
40.1, 307
42.1, 414



No. 10
This entry pairs a crystal structure of Hf2ZrTc3 with its computed X-ray diffraction stick pattern. Radiation: a wavelength of 1.5418 Å. Structure: the GGA-PBE geometry in Alexandria.
Peak positions follow from Bragg's law for the DFT cell and can differ from measured ones.

```
data_Hf2ZrTc3
_chemical_formula_sum 'Hf2 Zr1 Tc3'
_space_group_name_H-M_alt 'P 1'
_space_group_IT_number 1
_space_group_name_Hall 'P 1'
_cell_length_a 3.273
_cell_length_b 3.273
_cell_length_c 9.821
_cell_angle_alpha 90.00
_cell_angle_beta 90.00
_cell_angle_gamma 90.00
loop_
_atom_site_label
_atom_site_type_symbol
_atom_site_fract_x
_atom_site_fract_y
_atom_site_fract_z
Hf1 Hf 0.000 0.000 0.166
Hf2 Hf 0.000 0.000 0.834
Zr1 Zr 0.000 0.000 0.500
Tc1 Tc 0.500 0.500 0.000
Tc2 Tc 0.500 0.500 0.331
Tc3 Tc 0.500 0.500 0.669
```

Largest 8 diffraction maxima, sorted by position, 10° ≤ 2θ ≤ 90°:
Position (°2θ), I_rel
27.2, 45
28.7, 18
38.9, 1000
48.1, 14
56.2, 170
63.6, 19
70.5, 342
83.5, 109



No. 11
This entry pairs a crystal structure of LiGe3Pd7 with its computed X-ray diffraction stick pattern. Radiation: a wavelength of 1.5418 Å. Structure: the GGA-PBE geometry in Alexandria.
Peak positions follow from Bragg's law for the DFT cell and can differ from measured ones.

```
data_LiGe3Pd7
_chemical_formula_sum 'Li1 Ge3 Pd7'
_space_group_name_H-M_alt 'P 1'
_space_group_IT_number 1
_space_group_name_Hall 'P 1'
_cell_length_a 5.929
_cell_length_b 5.929
_cell_length_c 5.229
_cell_angle_alpha 96.96
_cell_angle_beta 96.96
_cell_angle_gamma 92.85
loop_
_atom_site_label
_atom_site_type_symbol
_atom_site_fract_x
_atom_site_fract_y
_atom_site_fract_z
Li1 Li 0.000 0.000 0.000
Ge1 Ge 0.282 0.718 0.500
Ge2 Ge 0.500 0.500 0.000
Ge3 Ge 0.718 0.282 0.500
Pd1 Pd 0.000 0.000 0.500
Pd2 Pd 0.101 0.447 0.772
Pd3 Pd 0.305 0.305 0.305
Pd4 Pd 0.447 0.101 0.772
Pd5 Pd 0.553 0.899 0.228
Pd6 Pd 0.695 0.695 0.695
Pd7 Pd 0.899 0.553 0.228
```

Largest 8 diffraction maxima, sorted by position, 10° ≤ 2θ ≤ 90°:
Position (°2θ), I_rel
17.2, 203
36.7, 235
37.1, 252
38.0, 713
38.6, 1000
45.1, 492
47.5, 541
62.4, 241



No. 12
This entry pairs a crystal structure of Na6VI8 with its computed X-ray diffraction stick pattern. Radiation: a wavelength of 1.5418 Å. Structure: the GGA-PBE geometry in Alexandria.
Peak positions follow from Bragg's law for the DFT cell and can differ from measured ones.

```
data_Na6VI8
_chemical_formula_sum 'Na6 V1 I8'
_space_group_name_H-M_alt 'P 1'
_space_group_IT_number 1
_space_group_name_Hall 'P 1'
_cell_length_a 9.139
_cell_length_b 9.139
_cell_length_c 9.139
_cell_angle_alpha 60.00
_cell_angle_beta 60.00
_cell_angle_gamma 60.00
loop_
_atom_site_label
_atom_site_type_symbol
_atom_site_fract_x
_atom_site_fract_y
_atom_site_fract_z
Na1 Na 0.000 0.000 0.500
Na2 Na 0.000 0.500 0.000
Na3 Na 0.000 0.500 0.500
Na4 Na 0.500 0.000 0.000
Na5 Na 0.500 0.000 0.500
Na6 Na 0.500 0.500 0.000
V1 V 0.000 0.000 0.000
I1 I 0.224 0.224 0.776
I2 I 0.224 0.776 0.224
I3 I 0.224 0.776 0.776
I4 I 0.250 0.250 0.250
I5 I 0.750 0.750 0.750
I6 I 0.776 0.224 0.224
I7 I 0.776 0.224 0.776
I8 I 0.776 0.776 0.224
```

Largest 8 diffraction maxima, sorted by position, 10° ≤ 2θ ≤ 90°:
Position (°2θ), I_rel
11.9, 224
23.9, 849
27.6, 1000
36.1, 190
39.4, 690
46.6, 319
48.8, 222
64.5, 239



No. 13
This entry pairs a crystal structure of Mg7Ir2Rh2 with its computed X-ray diffraction stick pattern. Radiation: a wavelength of 1.5418 Å. Structure: the GGA-PBE geometry in Alexandria.
Peak positions follow from Bragg's law for the DFT cell and can differ from measured ones.

```
data_Mg7Ir2Rh2
_chemical_formula_sum 'Mg7 Ir2 Rh2'
_space_group_name_H-M_alt 'P 1'
_space_group_IT_number 1
_space_group_name_Hall 'P 1'
_cell_length_a 5.576
_cell_length_b 5.576
_cell_length_c 7.342
_cell_angle_alpha 90.00
_cell_angle_beta 90.00
_cell_angle_gamma 117.65
loop_
_atom_site_label
_atom_site_type_symbol
_atom_site_fract_x
_atom_site_fract_y
_atom_site_fract_z
Mg1 Mg 0.000 0.000 0.000
Mg2 Mg 0.000 0.500 0.307
Mg3 Mg 0.000 0.500 0.693
Mg4 Mg 0.500 0.000 0.307
Mg5 Mg 0.500 0.000 0.693
Mg6 Mg 0.500 0.500 0.209
Mg7 Mg 0.500 0.500 0.791
Ir1 Ir 0.275 0.725 0.000
Ir2 Ir 0.725 0.275 0.000
Rh1 Rh 0.219 0.219 0.500
Rh2 Rh 0.781 0.781 0.500
```

Largest 8 diffraction maxima, sorted by position, 10° ≤ 2θ ≤ 90°:
Position (°2θ), I_rel
12.1, 208
22.2, 1000
24.2, 397
33.4, 615
37.7, 256
41.5, 362
44.2, 570
51.2, 289